Entry 1:
Starting from a cell relaxed with GGA-PBE, the X-ray powder pattern of BaAuBr was computed for Cu Kα, 1.54184 Å.

Most intense lines, 2θ = 5–70°, in order of falling intensity:
2θ/deg, intensity
7.98, 100
26.73, 34
36.78, 27
32.47, 17
36.59, 14
25.95, 14
31.45, 12
31.75, 10
37.38, 10
49.01, 7

a b c (Å): 4.891 4.891 11.096
angles (deg): 92.18 92.18 60.28
Fractional coordinates of all 6 atoms:
1 Ba 0.011 0.011 0.198
2 Ba 0.989 0.989 0.802
3 Au 0.334 0.334 0.017
4 Au 0.666 0.666 0.983
5 Br 0.315 0.315 0.657
6 Br 0.685 0.685 0.343



Entry 2:
Starting from a cell relaxed with GGA-PBE, the X-ray powder pattern of Tb5Sm2Er4 was computed for Cu Kα, 1.54184 Å.

Most intense lines, 2θ = 5–70°, in order of falling intensity:
2θ/deg, intensity
30.83, 100
35.75, 51
51.45, 36
61.21, 32
64.23, 12
61.14, 11

a b c (Å): 3.550 8.701 11.781
angles (deg): 75.82 81.39 89.99
Fractional coordinates of all 11 atoms:
1 Tb 0.000 0.000 0.000
2 Tb 0.273 0.184 0.455
3 Tb 0.363 0.907 0.273
4 Tb 0.637 0.093 0.727
5 Tb 0.727 0.816 0.545
6 Sm 0.090 0.726 0.819
7 Sm 0.910 0.274 0.181
8 Er 0.182 0.454 0.636
9 Er 0.454 0.636 0.093
10 Er 0.546 0.364 0.907
11 Er 0.818 0.546 0.364



Entry 3:
Starting from a cell relaxed with GGA-PBE, the X-ray powder pattern of DyUPb2O8 was computed for Cu Kα, 1.54184 Å.

Most intense lines, 2θ = 5–70°, in order of falling intensity:
2θ/deg, intensity
30.96, 100
24.22, 56
24.34, 54
47.04, 40
47.18, 39
34.60, 33
59.75, 23
58.77, 20
64.53, 12
56.20, 10

a b c (Å): 5.184 5.184 6.956
angles (deg): 90.00 90.00 90.30
Fractional coordinates of all 12 atoms:
1 Dy 0.000 0.000 0.000
2 U 0.000 0.000 0.500
3 Pb 0.500 0.500 0.248
4 Pb 0.500 0.500 0.752
5 O 0.180 0.820 0.272
6 O 0.180 0.820 0.728
7 O 0.297 0.297 0.500
8 O 0.308 0.308 0.000
9 O 0.692 0.692 0.000
10 O 0.703 0.703 0.500
11 O 0.820 0.180 0.272
12 O 0.820 0.180 0.728



Entry 4:
Starting from a cell relaxed with GGA-PBE, the X-ray powder pattern of La2Cd3Ag4 was computed for Cu Kα, 1.54184 Å.

Most intense lines, 2θ = 5–70°, in order of falling intensity:
2θ/deg, intensity
36.06, 100
32.37, 78
33.61, 46
32.73, 43
34.05, 34
55.23, 24
36.27, 23
38.87, 22
30.17, 19
53.51, 18

a b c (Å): 8.867 8.867 8.445
angles (deg): 90.00 90.00 139.29
Fractional coordinates of all 18 atoms:
1 La 0.114 0.886 0.918
2 La 0.386 0.614 0.418
3 La 0.614 0.386 0.582
4 La 0.886 0.114 0.082
5 Cd 0.000 0.000 0.500
6 Cd 0.025 0.475 0.750
7 Cd 0.475 0.025 0.250
8 Cd 0.500 0.500 0.000
9 Cd 0.525 0.975 0.750
10 Cd 0.975 0.525 0.250
11 Ag 0.177 0.823 0.528
12 Ag 0.197 0.303 0.750
13 Ag 0.303 0.197 0.250
14 Ag 0.323 0.677 0.028
15 Ag 0.677 0.323 0.972
16 Ag 0.697 0.803 0.750
17 Ag 0.803 0.697 0.250
18 Ag 0.823 0.177 0.472



Entry 5:
Starting from a cell relaxed with GGA-PBE, the X-ray powder pattern of Tb3CeSn2 was computed for Cu Kα, 1.54184 Å.

Most intense lines, 2θ = 5–70°, in order of falling intensity:
2θ/deg, intensity
32.60, 100
34.39, 70
20.80, 40
23.89, 33
34.07, 31
63.35, 30
27.49, 20
51.70, 20
61.24, 20
40.79, 19

a b c (Å): 9.004 9.004 9.004
angles (deg): 131.12 71.52 131.25
Fractional coordinates of all 12 atoms:
1 Tb 0.038 0.750 0.288
2 Tb 0.250 0.250 0.000
3 Tb 0.462 0.750 0.712
4 Tb 0.538 0.250 0.288
5 Tb 0.750 0.750 0.000
6 Tb 0.962 0.250 0.712
7 Ce 0.000 0.500 0.500
8 Ce 0.500 0.000 0.500
9 Sn 0.143 0.184 0.327
10 Sn 0.357 0.684 0.041
11 Sn 0.643 0.316 0.959
12 Sn 0.857 0.816 0.673



Entry 6:
Starting from a cell relaxed with GGA-PBE, the X-ray powder pattern of KSrHg6 was computed for Cu Kα, 1.54184 Å.

Most intense lines, 2θ = 5–70°, in order of falling intensity:
2θ/deg, intensity
33.80, 100
32.91, 24
29.41, 24
63.07, 21
59.34, 20
52.17, 19
44.72, 17
63.62, 15
14.58, 14
42.75, 9

a b c (Å): 5.442 7.011 7.011
angles (deg): 60.06 90.00 90.00
Fractional coordinates of all 8 atoms:
1 K 0.000 0.000 0.000
2 Sr 0.500 0.669 0.669
3 Hg 0.000 0.019 0.491
4 Hg 0.000 0.491 0.019
5 Hg 0.000 0.494 0.494
6 Hg 0.500 0.178 0.178
7 Hg 0.500 0.181 0.645
8 Hg 0.500 0.645 0.181



Entry 7:
Starting from a cell relaxed with GGA-PBE, the X-ray powder pattern of Co4Mo3 was computed for Cu Kα, 1.54184 Å.

Most intense lines, 2θ = 5–70°, in order of falling intensity:
2θ/deg, intensity
44.58, 100
41.41, 68
60.00, 21
32.32, 10
69.57, 5
37.63, 3
28.30, 3
65.30, 2
69.81, 2
50.92, 2

a b c (Å): 9.707 9.707 9.707
angles (deg): 161.72 161.72 25.96
Fractional coordinates of all 7 atoms:
1 Co 0.069 0.069 0.000
2 Co 0.360 0.360 0.000
3 Co 0.640 0.640 0.000
4 Co 0.931 0.931 0.000
5 Mo 0.204 0.204 0.000
6 Mo 0.500 0.500 0.000
7 Mo 0.796 0.796 0.000



Entry 8:
Starting from a cell relaxed with GGA-PBE, the X-ray powder pattern of La3Mo2 was computed for Cu Kα, 1.54184 Å.

Most intense lines, 2θ = 5–70°, in order of falling intensity:
2θ/deg, intensity
31.65, 100
38.53, 46
51.49, 27
61.72, 14
65.42, 12
37.51, 11
44.03, 10
66.11, 9
67.16, 9
22.24, 8

a b c (Å): 12.164 12.164 12.164
angles (deg): 16.78 16.78 16.78
Fractional coordinates of all 5 atoms:
1 La 0.000 0.000 0.000
2 La 0.213 0.213 0.213
3 La 0.787 0.787 0.787
4 Mo 0.395 0.395 0.395
5 Mo 0.605 0.605 0.605



Entry 9:
Starting from a cell relaxed with GGA-PBE, the X-ray powder pattern of SmDyCoRu was computed for Cu Kα, 1.54184 Å.

Most intense lines, 2θ = 5–70°, in order of falling intensity:
2θ/deg, intensity
32.00, 100
33.55, 61
40.53, 41
28.03, 27
43.15, 26
57.31, 26
41.35, 26
45.04, 23
57.94, 19
64.14, 16

a b c (Å): 4.026 5.605 5.605
angles (deg): 43.93 90.00 90.00
Fractional coordinates of all 4 atoms:
1 Sm 0.000 0.000 0.000
2 Dy 0.500 0.710 0.710
3 Co 0.500 0.410 0.410
4 Ru 0.000 0.295 0.295